For Tb7HoEr2, the PBE geometry in Alexandria gives the computed powder diffraction line list in this record (λ = 1.5418 Å (Cu Kα)).

Largest 10 diffraction maxima, by angle, 2θ from 15° to 90°:
- 2θ = 30.47°, rel. 16
- 2θ = 32.14°, rel. 100
- 2θ = 37.68°, rel. 6
- 2θ = 44.87°, rel. 11
- 2θ = 47.31°, rel. 8
- 2θ = 52.20°, rel. 5
- 2θ = 57.29°, rel. 19
- 2θ = 58.34°, rel. 9
- 2θ = 62.63°, rel. 18
- 2θ = 67.21°, rel. 7

Structural model:
```
10
Lattice="8.2331 -2.7859 0.0000 8.2331 2.7859 0.0000 -1.5041 0.0000 6.8462" Properties=species:S:1:pos:R:3 pbc="T T T"
Tb 0.0000 0.0000 0.0000
Tb 2.2061 0.0000 5.8488
Tb 6.3055 0.0000 1.3775
Tb 5.5741 0.0000 4.7869
Tb 9.3878 0.0000 2.0593
Tb 8.6565 0.0000 5.4688
Tb 12.7559 0.0000 0.9974
Ho -0.7521 0.0000 3.4231
Er 2.9435 0.0000 2.4397
Er 12.0184 0.0000 4.4065
```